[1]
Calculated X-ray powder pattern
Compound: Mn2GaO4
Radiation: Cu Kα (weighted mean of Kα1 and Kα2)
Structure: the PBE+U geometry in Alexandria

```
data_Mn2GaO4
_chemical_formula_sum 'Mn8 Ga4 O16'
_symmetry_space_group_name_H-M 'P 1'
_symmetry_Int_Tables_number 1
_symmetry_space_group_name_Hall 'P 1'
_cell_length_a 5.970
_cell_length_b 5.970
_cell_length_c 9.076
_cell_angle_alpha 90.00
_cell_angle_beta 90.00
_cell_angle_gamma 90.00
loop_
_atom_site_label
_atom_site_fract_x
_atom_site_fract_y
_atom_site_fract_z
Mn1 0.000 0.254 0.000
Mn2 0.000 0.746 0.500
Mn3 0.248 0.248 0.375
Mn4 0.248 0.752 0.125
Mn5 0.254 0.000 0.750
Mn6 0.746 0.000 0.250
Mn7 0.752 0.248 0.625
Mn8 0.752 0.752 0.875
Ga1 0.251 0.500 0.750
Ga2 0.500 0.251 0.000
Ga3 0.500 0.749 0.500
Ga4 0.749 0.500 0.250
O1 0.035 0.250 0.754
O2 0.035 0.750 0.746
O3 0.250 0.035 0.996
O4 0.250 0.965 0.504
O5 0.251 0.478 0.982
O6 0.251 0.522 0.518
O7 0.478 0.251 0.768
O8 0.478 0.749 0.732
O9 0.522 0.251 0.232
O10 0.522 0.749 0.268
O11 0.749 0.478 0.018
O12 0.749 0.522 0.482
O13 0.750 0.035 0.004
O14 0.750 0.965 0.496
O15 0.965 0.250 0.246
O16 0.965 0.750 0.254
```

Principal peaks in the range 2θ = 5–70°, low angle first:
- 17.8°, rel. 31
- 28.9°, rel. 28
- 33.2°, rel. 61
- 35.0°, rel. 100
- 36.0°, rel. 20
- 42.8°, rel. 24
- 52.7°, rel. 20
- 56.5°, rel. 33
- 59.8°, rel. 52
- 62.2°, rel. 23

---

[2]
Calculated X-ray powder pattern
Compound: MnGa2O4
Radiation: Cu Kα (weighted mean of Kα1 and Kα2)
Structure: the PBE+U geometry in Alexandria

```
data_MnGa2O4
_chemical_formula_sum 'Mn2 Ga4 O8'
_symmetry_space_group_name_H-M 'P 1'
_symmetry_Int_Tables_number 1
_symmetry_space_group_name_Hall 'P 1'
_cell_length_a 6.067
_cell_length_b 6.067
_cell_length_c 6.067
_cell_angle_alpha 60.00
_cell_angle_beta 60.00
_cell_angle_gamma 60.00
loop_
_atom_site_label
_atom_site_fract_x
_atom_site_fract_y
_atom_site_fract_z
Mn1 0.125 0.125 0.125
Mn2 0.875 0.875 0.875
Ga1 0.000 0.500 0.500
Ga2 0.500 0.000 0.500
Ga3 0.500 0.500 0.000
Ga4 0.500 0.500 0.500
O1 0.264 0.264 0.264
O2 0.264 0.264 0.708
O3 0.264 0.708 0.264
O4 0.292 0.736 0.736
O5 0.708 0.264 0.264
O6 0.736 0.292 0.736
O7 0.736 0.736 0.292
O8 0.736 0.736 0.736
```

Principal peaks in the range 2θ = 5–70°, low angle first:
- 17.9°, rel. 26
- 29.4°, rel. 22
- 34.7°, rel. 100
- 36.3°, rel. 17
- 42.1°, rel. 27
- 52.2°, rel. 7
- 55.7°, rel. 39
- 61.1°, rel. 47
- 64.2°, rel. 5
- 69.3°, rel. 2